Simulated XRD peak list
Compound: MgMoPb
Radiation: Cu Kα (λ = 1.5418 Å)
Structure: a DFT-relaxed cell (GGA-PBE, Alexandria)
Neutral-atom scattering factors, no anomalous dispersion.

Main lines, by angle (10° ≤ 2θ ≤ 80°):
2theta, I (rel.)
21.0, 50
29.9, 22
36.8, 100
48.1, 36
53.0, 16
66.2, 26

Structural model:
```
3
Lattice="4.8937 0.0000 0.0000 -2.4468 4.2380 0.0000 0.0000 0.0000 2.9858" Properties=species:S:1:pos:R:3 pbc="T T T"
Mg 0.0000 0.0000 0.0000
Mo 2.4468 1.4127 1.4375
Pb 0.0000 2.8254 1.6752
```



Simulated XRD peak list
Compound: MgMoPt2
Radiation: Cu Kα (λ = 1.5418 Å)
Structure: a DFT-relaxed cell (GGA-PBE, Alexandria)
Neutral-atom scattering factors, no anomalous dispersion.

Main lines, by angle (10° ≤ 2θ ≤ 80°):
2theta, I (rel.)
22.4, 53
39.1, 100
39.3, 99
45.5, 65
45.8, 32
66.5, 53

Structural model:
```
4
Lattice="2.8090 0.0000 0.0000 0.0000 3.9650 0.0000 0.0000 0.0000 5.6575" Properties=species:S:1:pos:R:3 pbc="T T T"
Mg 0.0000 0.0000 0.0000
Mo 0.0000 0.0000 2.8288
Pt 1.4045 1.9825 1.4557
Pt 1.4045 1.9825 4.2018
```



Simulated XRD peak list
Compound: MgMoPt
Radiation: Cu Kα (λ = 1.5418 Å)
Structure: a DFT-relaxed cell (GGA-PBE, Alexandria)
Neutral-atom scattering factors, no anomalous dispersion.

Main lines, by angle (10° ≤ 2θ ≤ 80°):
2theta, I (rel.)
20.5, 70
25.0, 33
34.3, 49
37.2, 68
39.3, 93
41.3, 100

Structural model:
```
6
Lattice="3.1033 0.0000 0.0000 -0.0007 4.3505 0.0000 -1.5491 -0.7177 7.2499" Properties=species:S:1:pos:R:3 pbc="T T T"
Mg -0.0003 0.1301 2.4639
Mg 1.5537 3.5026 4.7861
Mo -0.0003 2.1752 0.0000
Mo 1.5516 0.0000 0.0000
Pt 0.0026 1.3384 4.9700
Pt 1.5508 2.2944 2.2799
```



Simulated XRD peak list
Compound: MgMoRh2
Radiation: Cu Kα (λ = 1.5418 Å)
Structure: a DFT-relaxed cell (GGA-PBE, Alexandria)
Neutral-atom scattering factors, no anomalous dispersion.

Main lines, by angle (10° ≤ 2θ ≤ 80°):
2theta, I (rel.)
25.0, 16
40.0, 100
44.3, 37
50.8, 12
69.6, 19
78.5, 27

Structural model:
```
4
Lattice="-2.0468 2.0468 3.5935 2.0468 -2.0468 3.5935 2.0468 2.0468 -3.5935" Properties=species:S:1:pos:R:3 pbc="T T T"
Mg 0.0000 0.0000 0.0000
Mo 0.0000 0.0000 3.5935
Rh 2.0468 0.0000 1.7968
Rh 0.0000 2.0468 1.7968
```



Simulated XRD peak list
Compound: Sm3Mg2MoS8
Radiation: Cu Kα (λ = 1.5418 Å)
Structure: a DFT-relaxed cell (GGA-PBE, Alexandria)
Neutral-atom scattering factors, no anomalous dispersion.

Main lines, by angle (10° ≤ 2θ ≤ 80°):
2theta, I (rel.)
13.7, 75
26.3, 45
26.5, 43
32.2, 100
45.7, 46
46.6, 43

Structural model:
```
14
Lattice="3.9744 2.2946 6.3031 -3.9744 2.2946 6.3031 0.0000 -4.5892 6.3031" Properties=species:S:1:pos:R:3 pbc="T T T"
Sm -1.9872 -1.1473 6.3031
Sm -1.9872 1.1473 12.6062
Sm 0.0000 2.2946 6.3031
Mg 0.0000 0.0000 2.3779
Mg 0.0000 0.0000 16.5314
Mo 0.0000 0.0000 9.4547
S 0.0000 0.0000 4.7959
S -1.8558 -1.0715 10.9019
S 0.0000 -2.1429 8.0075
S -1.8558 1.0715 8.0075
S 1.8558 -1.0715 10.9019
S 0.0000 2.1429 10.9019
S 1.8558 1.0715 8.0075
S 0.0000 0.0000 14.1134
```



Simulated XRD peak list
Compound: MgTiMoS4
Radiation: Cu Kα (λ = 1.5418 Å)
Structure: a DFT-relaxed cell (GGA-PBE, Alexandria)
Neutral-atom scattering factors, no anomalous dispersion.

Main lines, by angle (10° ≤ 2θ ≤ 80°):
2theta, I (rel.)
15.0, 100
28.0, 60
29.1, 36
34.2, 93
35.4, 44
50.0, 84

Structural model:
```
14
Lattice="-3.6352 3.7865 5.0703 3.6352 -3.7865 5.0703 3.6352 3.7865 -5.0703" Properties=species:S:1:pos:R:3 pbc="T T T"
Mg 0.0000 1.8933 1.3304
Mg 3.6352 1.8933 3.7399
Ti 1.8176 1.8933 -2.5352
Ti 1.8176 -1.8933 2.5352
Mo 3.6352 0.0000 0.0000
Mo 0.0000 0.0000 5.0703
S 3.6352 -0.1886 2.5010
S 3.6352 3.5979 -2.5010
S 1.9871 1.8933 -0.0498
S 5.2832 1.8933 -0.0498
S -1.6481 1.8933 5.1201
S 1.6481 1.8933 5.1201
S 0.0000 0.1886 7.5713
S 0.0000 3.9752 2.5694
```